1.
Calculated powder diffraction line list of Ti5Se4 for a wavelength of 1.5418 Å, from a cell relaxed with GGA-PBE.
Intensities are scaled so that the largest is 100.

Largest 10 diffraction maxima, low angle first, 10° ≤ 2θ ≤ 90°:
- 2θ 25.89, rel. 38
- 2θ 32.88, rel. 80
- 2θ 37.85, rel. 100
- 2θ 41.49, rel. 51
- 2θ 42.31, rel. 28
- 2θ 46.43, rel. 70
- 2θ 52.40, rel. 25
- 2θ 53.92, rel. 21
- 2θ 55.01, rel. 26
- 2θ 76.25, rel. 23

Structural model:
Lattice parameters (Å, degrees): 7.1011 7.1011 7.1011 93.47 93.47 151.53
Atoms (fractional coordinates):
1 Ti 0.0000 0.0000 0.0000
2 Ti 0.3066 0.3725 0.6791
3 Ti 0.3725 0.6934 0.0658
4 Ti 0.6275 0.3066 0.9342
5 Ti 0.6934 0.6275 0.3209
6 Se 0.0579 0.2721 0.3300
7 Se 0.2721 0.9421 0.2142
8 Se 0.7279 0.0579 0.7858
9 Se 0.9421 0.7279 0.6700

---

2.
Calculated powder diffraction line list of TiSe for a wavelength of 1.5418 Å, from a cell relaxed with GGA-PBE.
Intensities are scaled so that the largest is 100.

Largest 10 diffraction maxima, low angle first, 10° ≤ 2θ ≤ 90°:
- 2θ 31.74, rel. 52
- 2θ 32.50, rel. 100
- 2θ 40.01, rel. 34
- 2θ 40.63, rel. 72
- 2θ 41.20, rel. 22
- 2θ 44.26, rel. 15
- 2θ 51.03, rel. 31
- 2θ 51.83, rel. 19
- 2θ 52.58, rel. 21
- 2θ 62.74, rel. 14

Structural model:
Lattice parameters (Å, degrees): 6.4960 3.4809 6.2594 90.00 90.00 90.00
Atoms (fractional coordinates):
1 Ti 0.0066 0.2500 0.1939
2 Ti 0.4934 0.7500 0.6939
3 Ti 0.5066 0.2500 0.3061
4 Ti 0.9934 0.7500 0.8061
5 Se 0.2165 0.2500 0.5796
6 Se 0.2835 0.7500 0.0796
7 Se 0.7165 0.2500 0.9204
8 Se 0.7835 0.7500 0.4204

---

3.
Calculated powder diffraction line list of TiSe for a wavelength of 1.5418 Å, from a cell relaxed with GGA-PBE.
Intensities are scaled so that the largest is 100.

Largest 10 diffraction maxima, low angle first, 10° ≤ 2θ ≤ 90°:
- 2θ 25.66, rel. 5
- 2θ 30.01, rel. 32
- 2θ 32.72, rel. 28
- 2θ 39.89, rel. 100
- 2θ 49.91, rel. 8
- 2θ 52.74, rel. 11
- 2θ 53.28, rel. 31
- 2θ 61.88, rel. 8
- 2θ 68.58, rel. 19
- 2θ 78.27, rel. 19

Structural model:
Lattice parameters (Å, degrees): 3.4386 3.4386 6.9426 90.00 90.00 120.00
Atoms (fractional coordinates):
1 Ti 0.3333 0.6667 0.2500
2 Ti 0.6667 0.3333 0.7500
3 Se 0.0000 0.0000 0.0000
4 Se 0.0000 0.0000 0.5000